[1]
Starting from a GGA-PBE-relaxed structure, the X-ray diffraction stick pattern of Na3ErPd3O8 was calculated for λ = 1.5418 Å (Cu Kα).

Top 10 peaks for 2θ = 5–70°, in order of rising 2θ:
Position (°2θ)  Rel. int.
15.85  100
30.56  14
32.01  18
33.86  24
33.99  28
34.34  14
34.86  27
40.91  39
53.24  15
56.36  13

```
Na3ErPd3O8
1.0
5.852 -3.072 0.000
5.852 3.072 0.000
-3.026 0.000 5.591
Na Er Pd O
3 1 3 8
direct
0.000 0.000 0.000
0.000 0.500 0.000
0.500 0.000 0.000
0.000 0.000 0.500
0.000 0.500 0.500
0.500 0.000 0.500
0.500 0.500 0.500
0.223 0.223 0.264
0.223 0.683 0.677
0.224 0.224 0.696
0.317 0.777 0.323
0.683 0.223 0.677
0.776 0.776 0.304
0.777 0.317 0.323
0.777 0.777 0.736
```

=====

[2]
Starting from a GGA-PBE-relaxed structure, the X-ray diffraction stick pattern of Na5CuIO2 was calculated for λ = 1.5418 Å (Cu Kα).

Top 10 peaks for 2θ = 5–70°, in order of rising 2θ:
Position (°2θ)  Rel. int.
21.39  100
26.33  23
28.42  23
34.08  72
37.34  18
37.57  46
43.63  35
54.19  15
58.64  15
65.58  20

```
Na5CuIO2
1.0
4.788 0.000 0.000
0.000 4.788 0.000
0.000 0.000 8.359
Na Cu I O
5 1 1 2
direct
0.000 0.000 0.000
0.000 0.500 0.294
0.000 0.500 0.706
0.500 0.000 0.294
0.500 0.000 0.706
0.000 0.000 0.500
0.500 0.500 0.000
0.000 0.000 0.277
0.000 0.000 0.723
```

=====

[3]
Starting from a GGA-PBE-relaxed structure, the X-ray diffraction stick pattern of Y6AgP2 was calculated for λ = 1.5418 Å (Cu Kα).

Top 10 peaks for 2θ = 5–70°, in order of rising 2θ:
Position (°2θ)  Rel. int.
27.12  56
29.28  37
29.71  34
30.55  64
31.89  100
33.43  57
34.35  72
34.91  59
35.64  66
46.17  51

```
Y6AgP2
1.0
21.493 0.000 0.000
0.000 3.932 0.000
0.000 0.000 11.072
Y Ag P
24 4 8
direct
0.022 0.250 0.119
0.043 0.750 0.376
0.112 0.250 0.833
0.156 0.750 0.096
0.172 0.250 0.527
0.241 0.750 0.772
0.259 0.250 0.272
0.328 0.750 0.027
0.344 0.250 0.596
0.388 0.750 0.333
0.457 0.250 0.876
0.478 0.750 0.619
0.522 0.250 0.381
0.543 0.750 0.124
0.612 0.250 0.667
0.656 0.750 0.404
0.672 0.250 0.973
0.741 0.750 0.728
0.759 0.250 0.228
0.828 0.750 0.473
0.844 0.250 0.904
0.888 0.750 0.167
0.957 0.250 0.624
0.978 0.750 0.881
0.075 0.750 0.645
0.425 0.250 0.145
0.575 0.750 0.855
0.925 0.250 0.355
0.125 0.250 0.277
0.232 0.250 0.974
0.268 0.750 0.474
0.375 0.750 0.777
0.625 0.250 0.223
0.732 0.250 0.526
0.768 0.750 0.026
0.875 0.750 0.723
```

=====

[4]
Starting from a GGA-PBE-relaxed structure, the X-ray diffraction stick pattern of Dy7SnGe5 was calculated for λ = 1.5418 Å (Cu Kα).

Top 10 peaks for 2θ = 5–70°, in order of rising 2θ:
Position (°2θ)  Rel. int.
28.73  89
30.34  56
30.94  62
34.02  100
34.56  31
36.12  37
37.45  47
39.15  87
40.21  33
59.50  48

```
Dy7SnGe5
1.0
-2.946 5.485 4.974
2.946 -5.485 4.974
2.946 5.485 -4.974
Dy Sn Ge
7 1 5
direct
0.000 0.000 0.000
0.304 0.632 0.672
0.378 0.378 0.000
0.426 0.090 0.336
0.754 0.090 0.664
0.850 0.350 0.500
0.960 0.632 0.328
0.686 0.686 0.000
0.106 0.137 0.511
0.106 0.595 0.969
0.355 0.855 0.500
0.626 0.137 0.031
0.626 0.595 0.489
```

=====

[5]
Starting from a GGA-PBE-relaxed structure, the X-ray diffraction stick pattern of Pr6Si2PdBr3 was calculated for λ = 1.5418 Å (Cu Kα).

Top 10 peaks for 2θ = 5–70°, in order of rising 2θ:
Position (°2θ)  Rel. int.
25.46  17
28.82  52
28.95  100
40.11  17
41.06  32
41.55  40
42.66  19
50.56  10
52.30  19
59.99  10

```
Pr6Si2PdBr3
1.0
9.600 -2.119 0.000
9.600 2.119 0.000
-2.251 0.000 8.707
Pr Si Pd Br
6 2 1 3
direct
0.010 0.010 0.228
0.325 0.325 0.435
0.338 0.338 0.892
0.662 0.662 0.108
0.675 0.675 0.565
0.990 0.990 0.772
0.167 0.167 0.336
0.833 0.833 0.664
0.500 0.500 0.000
0.168 0.168 0.832
0.500 0.500 0.500
0.832 0.832 0.168
```

=====

[6]
Starting from a GGA-PBE-relaxed structure, the X-ray diffraction stick pattern of In2GaH2 was calculated for λ = 1.5418 Å (Cu Kα).

Top 10 peaks for 2θ = 5–70°, in order of rising 2θ:
Position (°2θ)  Rel. int.
26.19  10
26.78  8
32.47  100
36.10  41
40.65  9
45.51  8
51.97  15
55.48  14
62.63  29
67.99  7

```
In2GaH2
1.0
3.519 0.000 0.000
0.000 3.519 0.000
0.000 0.000 13.317
In Ga H
4 2 4
direct
0.000 0.000 0.146
0.000 0.000 0.854
0.500 0.500 0.354
0.500 0.500 0.646
0.000 0.000 0.500
0.500 0.500 0.000
0.000 0.500 0.250
0.000 0.500 0.750
0.500 0.000 0.250
0.500 0.000 0.750
```